Record 1
This entry pairs a crystal structure of MgBPd3 with its theoretical X-ray diffraction stick pattern. Radiation: Cu Kα, 1.54184 Å. Structure: a crystal structure in Alexandria, relaxed with GGA-PBE.
Neutral-atom scattering factors, no anomalous dispersion.

Principal peaks in the range 2θ = 10–80°, by angle:
2theta  Rel. int.
19.99  24
35.91  100
38.79  29
39.64  82
40.01  45
40.62  47

Atomic structure:
Lattice parameters (Å, degrees): 5.668 5.668 4.491 95.95 95.95 90.61
Fractional coordinates of all 10 atoms:
Mg  0.000  0.000  0.000
Mg  0.577  0.423  0.000
B  0.067  0.413  0.405
B  0.587  0.933  0.595
Pd  0.088  0.494  0.953
Pd  0.258  0.116  0.545
Pd  0.388  0.612  0.500
Pd  0.506  0.912  0.047
Pd  0.757  0.243  0.500
Pd  0.884  0.742  0.455

---

Record 2
This entry pairs a crystal structure of Ba2LiSbO with its theoretical X-ray diffraction stick pattern. Radiation: Cu Kα, 1.54184 Å. Structure: a crystal structure in Alexandria, relaxed with GGA-PBE.
Neutral-atom scattering factors, no anomalous dispersion.

Principal peaks in the range 2θ = 10–80°, by angle:
2theta  Rel. int.
22.09  30
25.68  34
28.56  100
32.45  32
33.94  25
39.59  24

Atomic structure:
Lattice parameters (Å, degrees): 7.285 4.553 9.039 90.00 107.76 90.00
Fractional coordinates of all 10 atoms:
Ba  0.192  0.250  0.383
Ba  0.206  0.250  0.960
Ba  0.794  0.750  0.040
Ba  0.808  0.750  0.617
Li  0.432  0.750  0.239
Li  0.568  0.250  0.761
Sb  0.338  0.750  0.701
Sb  0.662  0.250  0.299
O  0.162  0.750  0.162
O  0.838  0.250  0.838

---

Record 3
This entry pairs a crystal structure of Ba8Sb5Au with its theoretical X-ray diffraction stick pattern. Radiation: Cu Kα, 1.54184 Å. Structure: a crystal structure in Alexandria, relaxed with GGA-PBE.
Neutral-atom scattering factors, no anomalous dispersion.

Principal peaks in the range 2θ = 10–80°, by angle:
2theta  Rel. int.
26.73  100
31.74  66
41.97  15
43.76  23
53.55  24
56.55  15

Atomic structure:
Lattice parameters (Å, degrees): 9.134 9.134 9.134 109.41 109.41 109.59
Fractional coordinates of all 14 atoms:
Ba  0.121  0.365  0.612
Ba  0.124  0.370  0.099
Ba  0.271  0.025  0.901
Ba  0.492  0.879  0.244
Ba  0.630  0.729  0.753
Ba  0.635  0.248  0.756
Ba  0.752  0.508  0.388
Ba  0.975  0.876  0.247
Sb  0.008  0.631  0.881
Sb  0.369  0.250  0.377
Sb  0.500  0.500  0.000
Sb  0.750  0.127  0.119
Sb  0.873  0.992  0.623
Au  0.250  0.750  0.500